# Na6Ag
Calculated powder X-ray diffraction pattern, Cu Kα (λ = 1.5418 Å). Input: DFT lattice parameters and positions (GGA-PBE).

Cell and atoms:
a = 11.689 Å, b = 11.689 Å, c = 5.667 Å
α = 90.00°, β = 90.00°, γ = 90.00°
Space group I4/mcm (No. 140)
Unique sites:
Na 0.100 0.204 0.000 x16
Na 0.102 0.398 0.500 x8
Ag 0.000 0.000 0.250 x4

The 10 most intense peaks (2θ from 15° to 90°), sorted by position:
two_theta	intensity	index
15.2	100	2 0 0
24.1	57	3 1 0
31.8	67	3 2 1
33.4	43	1 1 2
34.3	54	4 2 0
35.2	40	2 0 2
39.3	58	5 1 0
40.1	62	3 1 2
44.5	38	4 0 2
65.4	40	5 5 2